Simulated X-ray powder pattern
Compound: BaNpCr2O8
Radiation: CuKα
Structure: DFT lattice parameters and positions (PBE+U)
Neutral-atom scattering factors, no anomalous dispersion.

```
data_BaNpCr2O8
_chemical_formula_sum 'Ba1 Np1 Cr2 O8'
_cell_length_a 5.763
_cell_length_b 5.763
_cell_length_c 7.456
_cell_angle_alpha 90.00
_cell_angle_beta 90.00
_cell_angle_gamma 120.00
_symmetry_space_group_name_H-M 'P 1'
_symmetry_Int_Tables_number 1
_symmetry_space_group_name_Hall 'P 1'
loop_
_atom_site_label
_atom_site_type_symbol
_atom_site_fract_x
_atom_site_fract_y
_atom_site_fract_z
_atom_site_occupancy
Ba1 Ba 0.000 0.000 0.000 1
Np1 Np 0.000 0.000 0.500 1
Cr1 Cr 0.333 0.667 0.240 1
Cr2 Cr 0.667 0.333 0.760 1
O1 O 0.161 0.322 0.324 1
O2 O 0.161 0.839 0.324 1
O3 O 0.322 0.161 0.676 1
O4 O 0.333 0.667 0.016 1
O5 O 0.667 0.333 0.984 1
O6 O 0.678 0.839 0.324 1
O7 O 0.839 0.161 0.676 1
O8 O 0.839 0.678 0.676 1
```

Principal peaks in the range 5 to 70 degrees two-theta, by angle:
- 2θ 17.8, d 4.991, I = 1000, (1 0 0)
- 2θ 21.4, d 4.147, I = 441, (1 0 1)
- 2θ 29.9, d 2.987, I = 890, (1 0 2)
- 2θ 31.0, d 2.881, I = 603, (1 1 0)
- 2θ 39.5, d 2.280, I = 268, (1 1 2)
- 2θ 43.6, d 2.074, I = 405, (2 0 2)
- 2θ 48.2, d 1.886, I = 149, (2 1 0)
- 2θ 54.5, d 1.683, I = 351, (2 1 2)
- 2θ 55.2, d 1.664, I = 116, (3 0 0)
- 2θ 59.0, d 1.565, I = 213, (1 1 4)